[1]
For La2PmNd4Sm, a cell relaxed with GGA-PBE gives the calculated powder X-ray diffraction pattern in this record (Cu Kα, 1.54184 Å).
No peak broadening, texture or thermal motion is included.

Largest 9 diffraction maxima, sorted by position, 2θ from 5° to 70°:
2θ (°)	Rel. int.
29.66	100
34.38	51
49.39	30
49.50	6
58.64	22
58.70	14
58.80	7
61.50	6
61.64	6

Structure:
```
La2PmNd4Sm
1.0
5.212 0.000 0.000
0.000 5.219 0.000
-0.033 0.000 10.444
La Pm Nd Sm
2 1 4 1
Direct
0.000 0.000 0.000
0.500 0.500 0.500
0.000 0.000 0.500
0.001 0.500 0.751
0.500 0.000 0.250
0.500 0.000 0.750
0.999 0.500 0.249
0.500 0.500 0.000
```



[2]
For PaGaCoTc, a cell relaxed with GGA-PBE gives the calculated powder X-ray diffraction pattern in this record (Cu Kα, 1.54184 Å).
No peak broadening, texture or thermal motion is included.

Largest 12 diffraction maxima, sorted by position, 2θ from 5° to 70°:
2θ (°)	Rel. int.
20.57	21
20.86	7
29.46	9
32.85	14
39.08	100
41.85	21
42.46	20
51.50	11
54.20	7
61.14	13
68.44	9
68.89	10

Structure:
```
PaGaCoTc
1.0
3.549 0.000 0.000
0.000 4.257 0.000
0.000 0.000 4.318
Pa Ga Co Tc
1 1 1 1
Direct
0.000 0.000 0.000
0.000 0.500 0.500
0.500 0.000 0.500
0.500 0.500 0.000
```



[3]
For NpPt6Au, a cell relaxed with GGA-PBE gives the calculated powder X-ray diffraction pattern in this record (Cu Kα, 1.54184 Å).
No peak broadening, texture or thermal motion is included.

Largest 7 diffraction maxima, sorted by position, 2θ from 5° to 70°:
2θ (°)	Rel. int.
24.22	1
34.51	38
38.74	100
42.61	87
61.83	8
64.65	23
67.41	45

Structure:
```
NpPt6Au
1.0
5.198 0.000 0.000
0.000 5.198 0.000
0.000 0.000 5.198
Np Pt Au
1 6 1
Direct
0.000 0.000 0.000
0.000 0.251 0.500
0.000 0.749 0.500
0.251 0.500 0.000
0.500 0.000 0.251
0.500 0.000 0.749
0.749 0.500 0.000
0.500 0.500 0.500
```



[4]
For Tm2Th3Sc4, a cell relaxed with GGA-PBE gives the calculated powder X-ray diffraction pattern in this record (Cu Kα, 1.54184 Å).
No peak broadening, texture or thermal motion is included.

Largest 12 diffraction maxima, sorted by position, 2θ from 5° to 70°:
2θ (°)	Rel. int.
10.52	69
21.12	20
30.02	48
30.86	33
31.91	85
33.28	71
35.00	100
37.00	21
44.39	31
53.31	47
60.00	26
63.49	49

Structure:
```
Tm2Th3Sc4
1.0
3.437 0.000 0.000
-1.719 2.977 0.000
0.000 0.000 25.234
Tm Th Sc
2 3 4
Direct
0.000 0.000 0.000
0.000 0.000 0.231
0.000 0.000 0.784
0.333 0.667 0.118
0.333 0.667 0.462
0.000 0.000 0.355
0.000 0.000 0.574
0.333 0.667 0.674
0.333 0.667 0.894
```



[5]
For PmPr5Au6, a cell relaxed with GGA-PBE gives the calculated powder X-ray diffraction pattern in this record (Cu Kα, 1.54184 Å).
No peak broadening, texture or thermal motion is included.

Largest 12 diffraction maxima, sorted by position, 2θ from 5° to 70°:
2θ (°)	Rel. int.
23.60	3
23.83	3
33.79	100
33.91	99
34.08	98
41.87	3
48.29	19
48.78	18
49.14	18
60.42	38
60.74	37
60.97	37

Structure:
```
PmPr5Au6
1.0
5.306 0.000 0.000
0.000 7.416 0.000
-2.577 0.000 7.957
Pm Pr Au
1 5 6
Direct
0.000 0.000 0.000
0.000 0.500 0.000
0.333 0.000 0.667
0.333 0.500 0.666
0.667 0.000 0.333
0.667 0.500 0.334
0.165 0.248 0.329
0.165 0.752 0.329
0.500 0.245 0.000
0.500 0.755 0.000
0.835 0.248 0.671
0.835 0.752 0.671
```



[6]
For Ti2NbCd, a cell relaxed with GGA-PBE gives the calculated powder X-ray diffraction pattern in this record (Cu Kα, 1.54184 Å).
No peak broadening, texture or thermal motion is included.

Largest 12 diffraction maxima, sorted by position, 2θ from 5° to 70°:
2θ (°)	Rel. int.
18.49	63
32.60	16
36.00	76
37.48	71
37.63	66
37.83	64
38.46	100
42.92	48
43.03	13
49.06	23
60.38	29
65.13	18

Structure:
```
Ti2NbCd
1.0
2.747 -1.415 0.000
2.747 1.415 0.000
-2.690 0.000 9.599
Ti Nb Cd
2 1 1
Direct
0.000 0.000 0.000
0.741 0.741 0.471
0.374 0.374 0.236
0.174 0.174 0.735
```



[7]
For MnNbCoHSe, a cell relaxed with GGA-PBE gives the calculated powder X-ray diffraction pattern in this record (Cu Kα, 1.54184 Å).
No peak broadening, texture or thermal motion is included.

Largest 12 diffraction maxima, sorted by position, 2θ from 5° to 70°:
2θ (°)	Rel. int.
30.97	12
31.46	20
37.78	14
40.28	100
45.56	19
45.91	11
50.25	17
51.55	15
60.50	6
64.30	7
64.55	5
65.66	5

Structure:
```
MnNbCoHSe
1.0
3.546 0.000 0.000
0.000 3.631 0.000
0.000 0.000 4.762
Mn Nb Co H Se
1 1 1 1 1
Direct
0.000 0.000 0.000
0.000 0.500 0.573
0.500 0.500 0.032
0.000 0.500 0.990
0.500 0.000 0.375
```



[8]
For ZnMo2Rh, a cell relaxed with GGA-PBE gives the calculated powder X-ray diffraction pattern in this record (Cu Kα, 1.54184 Å).
No peak broadening, texture or thermal motion is included.

Largest 12 diffraction maxima, sorted by position, 2θ from 5° to 70°:
2θ (°)	Rel. int.
15.13	1
27.80	1
30.54	2
31.80	2
39.72	60
41.77	100
50.91	2
57.42	20
62.80	1
63.57	6
66.44	1
67.15	1

Structure:
```
ZnMo2Rh
1.0
3.210 0.000 0.000
0.000 3.210 0.000
0.000 0.000 5.854
Zn Mo Rh
1 2 1
Direct
0.000 0.000 0.000
0.000 0.000 0.493
0.500 0.500 0.262
0.500 0.500 0.778
```



> Number 8 is which compound?

ZnMo2Rh